No. 1
This entry pairs a crystal structure of Ag2PtCl7 with its simulated X-ray diffraction stick pattern. Radiation: a wavelength of 1.5418 Å. Structure: a cell relaxed with PBE.
Neutral-atom scattering factors, no anomalous dispersion.

Peak list (10 most intense, 15° ≤ 2θ ≤ 90°, by intensity)
d_spacing	I (rel.)
5.246	100.0
4.341	32.2
2.469	31.3
4.077	30.8
2.792	25.2
2.972	25.0
2.202	21.6
3.294	21.0
5.315	14.6
1.733	14.2

Structural model:
```
Ag2PtCl7
1.0
5.944 -4.341 0.000
5.944 4.341 0.000
-5.931 0.000 11.870
Ag Pt Cl
4 2 14
Cartesian
1.376 0.453 0.882
-1.590 -0.453 6.817
7.546 0.453 5.053
4.581 -0.453 10.988
4.461 0.721 2.968
1.496 -0.721 8.903
-4.953 0.038 10.339
-1.988 -0.038 4.404
2.176 0.854 3.358
3.985 0.775 0.691
1.496 1.553 8.903
-0.789 -0.854 9.294
1.020 -0.775 6.626
4.937 0.775 5.244
6.746 0.854 2.577
4.461 -1.553 2.968
1.971 -0.775 11.179
3.780 -0.854 8.512
7.944 0.038 7.466
10.910 -0.038 1.531
```



No. 2
This entry pairs a crystal structure of Ag2PtCl with its simulated X-ray diffraction stick pattern. Radiation: a wavelength of 1.5418 Å. Structure: a cell relaxed with PBE.
Neutral-atom scattering factors, no anomalous dispersion.

Peak list (10 most intense, 15° ≤ 2θ ≤ 90°, by intensity)
d_spacing	I (rel.)
2.397	100.0
2.420	95.6
2.195	71.5
1.440	36.0
1.299	25.4
1.909	24.9
1.310	20.8
3.819	19.4
2.239	17.1
1.903	14.7

Structural model:
```
Ag2PtCl
1.0
3.080 0.000 0.000
0.000 3.819 0.000
0.000 0.000 6.256
Ag Pt Cl
2 1 1
Cartesian
0.000 0.000 0.000
1.540 1.909 1.613
1.540 1.909 4.980
0.000 0.000 3.129
```



No. 3
This entry pairs a crystal structure of TlAgPtCl6 with its simulated X-ray diffraction stick pattern. Radiation: a wavelength of 1.5418 Å. Structure: a cell relaxed with PBE.
Neutral-atom scattering factors, no anomalous dispersion.

Peak list (10 most intense, 15° ≤ 2θ ≤ 90°, by intensity)
d_spacing	I (rel.)
4.685	100.0
2.357	66.6
3.353	57.2
1.920	24.6
2.343	23.0
3.313	17.3
2.095	16.8
1.661	14.7
1.485	14.6
1.795	12.0

Structural model:
```
TlAgPtCl6
1.0
6.626 0.000 0.000
0.000 6.626 0.000
0.000 0.000 11.662
Tl Ag Pt Cl
2 2 2 12
Cartesian
0.000 0.000 0.000
3.313 3.313 5.831
0.000 0.000 3.555
3.313 3.313 9.386
0.000 0.000 7.568
3.313 3.313 1.737
1.114 1.114 5.812
1.221 1.221 9.180
1.630 1.630 1.813
1.683 4.943 7.644
2.092 4.533 3.349
2.199 4.426 11.643
4.426 2.199 11.643
4.533 2.092 3.349
4.943 1.683 7.644
4.995 4.995 1.813
5.405 5.405 9.180
5.512 5.512 5.812
```



No. 4
This entry pairs a crystal structure of PuAg3Cl9 with its simulated X-ray diffraction stick pattern. Radiation: a wavelength of 1.5418 Å. Structure: a cell relaxed with PBE.
Neutral-atom scattering factors, no anomalous dispersion.

Peak list (10 most intense, 15° ≤ 2θ ≤ 90°, by intensity)
d_spacing	I (rel.)
5.569	100.0
2.446	16.5
4.937	16.3
4.063	14.9
3.670	12.9
2.820	12.8
3.391	12.3
4.256	12.2
3.492	10.7
2.795	10.1

Structural model:
```
PuAg3Cl9
1.0
9.331 -4.317 0.000
9.331 4.317 0.000
-9.323 0.000 11.879
Pu Ag Cl
2 6 18
Cartesian
4.670 4.185 5.940
9.331 -4.185 0.000
-0.578 1.671 7.897
7.035 0.975 3.013
4.083 -1.671 1.957
2.374 -0.975 8.953
5.732 0.285 11.337
10.393 -0.285 5.397
-3.115 0.870 7.701
7.372 3.050 0.981
0.547 2.559 10.255
6.588 2.809 5.018
1.546 -0.870 1.761
4.056 2.358 7.504
4.765 0.616 2.333
0.104 -0.616 8.273
9.384 0.715 3.341
13.133 0.499 0.913
7.719 1.148 10.125
4.722 -0.715 9.280
5.208 -2.559 4.316
2.711 -3.050 6.920
8.472 -0.499 6.853
8.717 -2.358 1.564
1.926 -2.809 10.958
12.380 -1.148 4.185
```



No. 5
This entry pairs a crystal structure of Rb2PuAgCl6 with its simulated X-ray diffraction stick pattern. Radiation: a wavelength of 1.5418 Å. Structure: a cell relaxed with PBE.
Neutral-atom scattering factors, no anomalous dispersion.

Peak list (10 most intense, 15° ≤ 2θ ≤ 90°, by intensity)
d_spacing	I (rel.)
3.841	100.0
2.716	56.2
2.218	47.3
1.921	38.9
5.432	35.1
1.452	25.1
1.718	21.8
2.429	18.1
1.215	16.9
1.109	13.2

Structural model:
```
Rb2PuAgCl6
1.0
7.681 0.000 0.000
0.000 10.864 0.000
0.000 0.000 7.684
Rb Pu Ag Cl
4 2 2 12
Cartesian
1.920 0.007 1.925
1.920 5.426 1.925
5.760 5.439 5.759
5.760 10.858 5.759
1.920 2.716 5.743
5.760 8.148 1.941
1.920 8.148 5.784
5.760 2.716 1.900
0.006 2.716 7.646
0.021 2.716 3.828
1.920 0.018 5.747
1.920 5.414 5.747
3.819 2.716 3.828
3.834 2.716 7.646
3.847 8.148 0.038
3.861 8.148 3.856
5.760 5.450 1.937
5.760 10.846 1.937
7.660 8.148 3.856
7.674 8.148 0.038
```